Structure and simulated XRD peak list of NaSrN (DFT lattice parameters and positions (PBE); Cu Kα).

Top 10 peaks for 15° ≤ 2θ ≤ 90°, by angle:
(hkl)  Position (°2θ)  I_rel
1 0 1  17.30  31
1 1 1  27.19  56
2 1 0  28.74  100
3 0 1  33.00  36
4 0 0  39.84  17
2 1 2  41.09  73
0 2 0  42.36  21
3 2 1  54.72  16
5 1 1  57.23  20
2 3 2  76.60  14

Crystal structure
a = 9.0509 Å, b = 4.2674 Å, c = 6.2180 Å
α = 90.00°, β = 90.00°, γ = 90.00°
Positions (direct):
Na (0.0873, 0.2500, 0.0437)
Na (0.4127, 0.7500, 0.5437)
Na (0.5873, 0.2500, 0.4563)
Na (0.9127, 0.7500, 0.9563)
Sr (0.1468, 0.2500, 0.5274)
Sr (0.3532, 0.7500, 0.0274)
Sr (0.6468, 0.2500, 0.9726)
Sr (0.8532, 0.7500, 0.4726)
N (0.1177, 0.7500, 0.2765)
N (0.3823, 0.2500, 0.7765)
N (0.6177, 0.7500, 0.2235)
N (0.8823, 0.2500, 0.7235)